Record 1
HoCuHg: calculated powder diffraction line list (Cu Kα, 1.54184 Å), based on a PBE-relaxed structure.
Kinematic intensities with the Lorentz-polarization factor, no thermal factor.

Peak list (10 most intense, 2θ from 5° to 70°, most intense first)
d = 2.669 Å, 2θ = 33.57°, rel. 100
d = 2.473 Å, 2θ = 36.33°, rel. 47
d = 2.479 Å, 2θ = 36.24°, rel. 42
d = 2.614 Å, 2θ = 34.31°, rel. 34
d = 2.186 Å, 2θ = 41.29°, rel. 30
d = 1.882 Å, 2θ = 48.38°, rel. 22
d = 1.499 Å, 2θ = 61.91°, rel. 18
d = 2.352 Å, 2θ = 38.26°, rel. 16
d = 1.426 Å, 2θ = 65.44°, rel. 15
d = 3.012 Å, 2θ = 29.66°, rel. 14

Crystal structure
a b c (Å): 13.135 3.763 7.562
angles (deg): 90.00 90.00 90.00
Fractional coordinates of all 18 atoms:
Ho 0.048 0.000 0.237
Ho 0.250 0.000 0.844
Ho 0.452 0.000 0.237
Ho 0.548 0.000 0.763
Ho 0.750 0.000 0.156
Ho 0.952 0.000 0.763
Cu 0.089 0.500 0.945
Cu 0.250 0.000 0.446
Cu 0.411 0.500 0.945
Cu 0.589 0.500 0.055
Cu 0.750 0.000 0.554
Cu 0.911 0.500 0.055
Hg 0.115 0.500 0.577
Hg 0.250 0.500 0.183
Hg 0.385 0.500 0.577
Hg 0.615 0.500 0.423
Hg 0.750 0.500 0.817
Hg 0.885 0.500 0.423



Record 2
HoCuHg2: calculated powder diffraction line list (Cu Kα, 1.54184 Å), based on a PBE-relaxed structure.
Kinematic intensities with the Lorentz-polarization factor, no thermal factor.

Peak list (10 most intense, 2θ from 5° to 70°, most intense first)
d = 2.762 Å, 2θ = 32.42°, rel. 100
d = 2.630 Å, 2θ = 34.09°, rel. 45
d = 2.497 Å, 2θ = 35.97°, rel. 44
d = 2.351 Å, 2θ = 38.28°, rel. 43
d = 2.073 Å, 2θ = 43.66°, rel. 33
d = 2.193 Å, 2θ = 41.16°, rel. 27
d = 2.181 Å, 2θ = 41.40°, rel. 25
d = 1.555 Å, 2θ = 59.44°, rel. 24
d = 2.147 Å, 2θ = 42.08°, rel. 22
d = 1.507 Å, 2θ = 61.56°, rel. 19

Crystal structure
a b c (Å): 5.508 5.508 7.948
angles (deg): 90.00 90.00 135.79
Fractional coordinates of all 8 atoms:
Ho 0.067 0.933 0.750
Ho 0.933 0.067 0.250
Cu 0.228 0.772 0.250
Cu 0.772 0.228 0.750
Hg 0.360 0.640 0.550
Hg 0.360 0.640 0.950
Hg 0.640 0.360 0.050
Hg 0.640 0.360 0.450



Record 3
Ho6CuHg2: calculated powder diffraction line list (Cu Kα, 1.54184 Å), based on a PBE-relaxed structure.
Kinematic intensities with the Lorentz-polarization factor, no thermal factor.

Peak list (10 most intense, 2θ from 5° to 70°, most intense first)
d = 2.499 Å, 2θ = 35.94°, rel. 100
d = 4.076 Å, 2θ = 21.81°, rel. 30
d = 2.479 Å, 2θ = 36.24°, rel. 19
d = 1.442 Å, 2θ = 64.66°, rel. 15
d = 1.759 Å, 2θ = 52.00°, rel. 14
d = 1.435 Å, 2θ = 64.97°, rel. 14
d = 3.517 Å, 2θ = 25.32°, rel. 12
d = 1.448 Å, 2θ = 64.36°, rel. 7
d = 1.777 Å, 2θ = 51.42°, rel. 7
d = 1.444 Å, 2θ = 64.52°, rel. 7

Crystal structure
a b c (Å): 8.612 8.612 8.612
angles (deg): 146.32 131.25 60.56
Fractional coordinates of all 9 atoms:
Ho 0.082 0.339 0.744
Ho 0.237 0.000 0.237
Ho 0.405 0.661 0.744
Ho 0.595 0.339 0.256
Ho 0.763 0.000 0.763
Ho 0.918 0.661 0.256
Cu 0.000 0.500 0.500
Hg 0.333 0.833 0.500
Hg 0.667 0.167 0.500



Record 4
Ho4Cu2HgRh: calculated powder diffraction line list (Cu Kα, 1.54184 Å), based on a PBE-relaxed structure.
Kinematic intensities with the Lorentz-polarization factor, no thermal factor.

Peak list (10 most intense, 2θ from 5° to 70°, most intense first)
d = 2.484 Å, 2θ = 36.16°, rel. 100
d = 1.435 Å, 2θ = 64.98°, rel. 27
d = 1.757 Å, 2θ = 52.06°, rel. 17
d = 1.432 Å, 2θ = 65.16°, rel. 7
d = 4.057 Å, 2θ = 21.91°, rel. 6
d = 3.513 Å, 2θ = 25.35°, rel. 4
d = 2.702 Å, 2θ = 33.16°, rel. 3
d = 1.357 Å, 2θ = 69.25°, rel. 3
d = 3.223 Å, 2θ = 27.68°, rel. 2
d = 2.120 Å, 2θ = 42.65°, rel. 2

Crystal structure
a b c (Å): 8.590 8.590 8.590
angles (deg): 33.66 33.66 33.66
Fractional coordinates of all 8 atoms:
Ho 0.118 0.118 0.118
Ho 0.370 0.370 0.370
Ho 0.630 0.630 0.630
Ho 0.882 0.882 0.882
Cu 0.246 0.246 0.246
Cu 0.754 0.754 0.754
Hg 0.500 0.500 0.500
Rh 0.000 0.000 0.000



Record 5
Cu2HgI5: calculated powder diffraction line list (Cu Kα, 1.54184 Å), based on a PBE-relaxed structure.
Kinematic intensities with the Lorentz-polarization factor, no thermal factor.

Peak list (10 most intense, 2θ from 5° to 70°, most intense first)
d = 6.577 Å, 2θ = 13.46°, rel. 100
d = 6.194 Å, 2θ = 14.30°, rel. 17
d = 3.880 Å, 2θ = 22.92°, rel. 17
d = 3.437 Å, 2θ = 25.92°, rel. 15
d = 8.193 Å, 2θ = 10.80°, rel. 15
d = 2.533 Å, 2θ = 35.44°, rel. 15
d = 2.077 Å, 2θ = 43.58°, rel. 14
d = 2.048 Å, 2θ = 44.22°, rel. 14
d = 1.940 Å, 2θ = 46.82°, rel. 14
d = 2.108 Å, 2θ = 42.89°, rel. 13

Crystal structure
a b c (Å): 7.301 7.320 8.196
angles (deg): 91.34 90.11 115.86
Fractional coordinates of all 8 atoms:
Cu 0.000 0.000 0.000
Cu 0.332 0.686 0.795
Hg 0.314 0.703 0.274
I 0.083 0.925 0.289
I 0.107 0.872 0.747
I 0.117 0.400 0.999
I 0.458 0.571 0.538
I 0.610 0.922 0.006



Record 6
InCuHg2: calculated powder diffraction line list (Cu Kα, 1.54184 Å), based on a PBE-relaxed structure.
Kinematic intensities with the Lorentz-polarization factor, no thermal factor.

Peak list (10 most intense, 2θ from 5° to 70°, most intense first)
d = 2.663 Å, 2θ = 33.66°, rel. 100
d = 1.927 Å, 2θ = 47.18°, rel. 47
d = 2.856 Å, 2θ = 31.32°, rel. 41
d = 3.299 Å, 2θ = 27.02°, rel. 30
d = 1.842 Å, 2θ = 49.48°, rel. 26
d = 2.293 Å, 2θ = 39.29°, rel. 23
d = 1.561 Å, 2θ = 59.19°, rel. 20
d = 3.194 Å, 2θ = 27.93°, rel. 18
d = 1.515 Å, 2θ = 61.16°, rel. 16
d = 2.455 Å, 2θ = 36.60°, rel. 10

Crystal structure
a b c (Å): 7.694 7.694 7.694
angles (deg): 29.00 29.00 29.00
Fractional coordinates of all 4 atoms:
In 0.000 0.000 0.000
Cu 0.166 0.166 0.166
Hg 0.569 0.569 0.569
Hg 0.764 0.764 0.764



Record 7
InCuHg2Se4: calculated powder diffraction line list (Cu Kα, 1.54184 Å), based on a PBE-relaxed structure.
Kinematic intensities with the Lorentz-polarization factor, no thermal factor.

Peak list (10 most intense, 2θ from 5° to 70°, most intense first)
d = 1.990 Å, 2θ = 45.57°, rel. 100
d = 2.933 Å, 2θ = 30.48°, rel. 77
d = 2.710 Å, 2θ = 33.05°, rel. 54
d = 3.833 Å, 2θ = 23.21°, rel. 46
d = 3.077 Å, 2θ = 29.02°, rel. 37
d = 3.487 Å, 2θ = 25.54°, rel. 30
d = 1.714 Å, 2θ = 53.46°, rel. 25
d = 2.424 Å, 2θ = 37.09°, rel. 22
d = 1.466 Å, 2θ = 63.44°, rel. 16
d = 1.381 Å, 2θ = 67.89°, rel. 14

Crystal structure
a b c (Å): 6.445 6.445 6.445
angles (deg): 107.02 107.02 114.49
Fractional coordinates of all 8 atoms:
In 0.000 0.000 0.000
Cu 0.500 0.500 0.000
Hg 0.250 0.750 0.500
Hg 0.750 0.250 0.500
Se 0.102 0.102 0.657
Se 0.445 0.445 0.343
Se 0.555 0.898 0.000
Se 0.898 0.555 0.000



Which formula does entry 7 have?
InCuHg2Se4